LiLa4CoO8: simulated powder X-ray diffraction pattern (λ = 1.5418 Å (Cu Kα)), based on the PBE+U geometry in the Materials Project.
Kinematic intensities with the Lorentz-polarization factor, no thermal factor.

Unit cell a=5.370 b=8.794 c=16.769 alpha=79.96 beta=89.80 gamma=72.44
Element x y z (fractional)
Li  0.000  0.000  0.000
Li  0.248  0.501  0.249
Li  0.497  0.001  0.499
Li  0.745  0.502  0.749
La  0.055  0.889  0.193
La  0.066  0.863  0.430
La  0.175  0.640  0.818
La  0.191  0.613  0.055
La  0.302  0.388  0.443
La  0.312  0.365  0.680
La  0.433  0.137  0.069
La  0.443  0.114  0.306
La  0.555  0.889  0.693
La  0.570  0.862  0.931
La  0.678  0.639  0.318
La  0.688  0.614  0.556
La  0.805  0.387  0.942
La  0.817  0.363  0.180
La  0.928  0.139  0.568
La  0.941  0.115  0.807
Co  0.122  0.752  0.624
Co  0.373  0.251  0.874
Co  0.623  0.750  0.125
Co  0.872  0.251  0.374
O  0.031  0.931  0.714
O  0.053  0.377  0.811
O  0.058  0.373  0.313
O  0.090  0.816  0.910
O  0.157  0.682  0.340
O  0.179  0.129  0.435
O  0.190  0.127  0.936
O  0.213  0.572  0.535
O  0.285  0.425  0.962
O  0.308  0.873  0.564
O  0.318  0.872  0.064
O  0.338  0.321  0.158
O  0.407  0.181  0.591
O  0.427  0.631  0.685
O  0.437  0.629  0.185
O  0.459  0.077  0.787
O  0.532  0.931  0.214
O  0.556  0.374  0.813
O  0.566  0.373  0.314
O  0.588  0.820  0.409
O  0.655  0.686  0.839
O  0.687  0.130  0.435
O  0.691  0.124  0.938
O  0.714  0.570  0.034
O  0.784  0.430  0.464
O  0.809  0.871  0.064
O  0.816  0.873  0.564
O  0.836  0.321  0.658
O  0.909  0.181  0.091
O  0.929  0.629  0.185
O  0.936  0.631  0.685
O  0.961  0.072  0.285

The 10 most intense peaks (10° ≤ 2θ ≤ 90°), low angle first:
24.4 deg, intensity 390; 24.5 deg, intensity 386; 27.7 deg, intensity 338; 31.4 deg, intensity 679; 31.5 deg, intensity 674; 33.4 deg, intensity 1000; 42.4 deg, intensity 295; 43.9 deg, intensity 687; 47.8 deg, intensity 258; 55.5 deg, intensity 272

---

LiLa4CoO8: simulated powder X-ray diffraction pattern (λ = 1.5418 Å (Cu Kα)), based on the PBE+U geometry in the Materials Project.
Kinematic intensities with the Lorentz-polarization factor, no thermal factor.

Unit cell a=13.494 b=5.344 c=13.495 alpha=78.57 beta=22.84 gamma=78.59
Element x y z (fractional)
Li  0.000  0.000  0.000
Li  0.250  0.250  0.250
La  0.070  0.430  0.069
La  0.181  0.819  0.180
La  0.318  0.682  0.319
La  0.430  0.070  0.431
La  0.569  0.931  0.568
La  0.682  0.318  0.681
La  0.819  0.181  0.820
La  0.931  0.569  0.932
Co  0.500  0.500  0.500
Co  0.750  0.750  0.750
O  0.090  0.910  0.090
O  0.160  0.340  0.160
O  0.255  0.255  0.745
O  0.255  0.745  0.745
O  0.340  0.160  0.340
O  0.410  0.590  0.410
O  0.505  0.505  0.995
O  0.505  0.995  0.995
O  0.590  0.410  0.590
O  0.660  0.840  0.660
O  0.745  0.255  0.255
O  0.745  0.745  0.255
O  0.840  0.660  0.840
O  0.910  0.090  0.910
O  0.995  0.505  0.505
O  0.995  0.995  0.505

The 10 most intense peaks (10° ≤ 2θ ≤ 90°), low angle first:
24.5 deg, intensity 561; 27.5 deg, intensity 248; 31.5 deg, intensity 1000; 33.5 deg, intensity 725; 42.3 deg, intensity 211; 43.9 deg, intensity 499; 48.2 deg, intensity 370; 55.3 deg, intensity 204; 58.7 deg, intensity 352; 76.3 deg, intensity 158

---

LiLa4CoO8: simulated powder X-ray diffraction pattern (λ = 1.5418 Å (Cu Kα)), based on the PBE+U geometry in the Materials Project.
Kinematic intensities with the Lorentz-polarization factor, no thermal factor.

Unit cell a=7.019 b=7.019 c=5.343 alpha=90.00 beta=90.00 gamma=135.33
Element x y z (fractional)
Li  0.000  0.000  0.000
La  0.137  0.863  0.500
La  0.362  0.638  0.000
La  0.638  0.362  0.000
La  0.863  0.137  0.500
Co  0.500  0.500  0.500
O  0.181  0.819  0.000
O  0.254  0.254  0.256
O  0.254  0.254  0.744
O  0.320  0.680  0.500
O  0.680  0.320  0.500
O  0.746  0.746  0.256
O  0.746  0.746  0.744
O  0.819  0.181  0.000

The 10 most intense peaks (10° ≤ 2θ ≤ 90°), low angle first:
24.6 deg, intensity 557; 27.5 deg, intensity 248; 31.4 deg, intensity 1000; 33.6 deg, intensity 720; 42.2 deg, intensity 210; 43.9 deg, intensity 497; 48.2 deg, intensity 368; 55.2 deg, intensity 206; 58.7 deg, intensity 351; 76.3 deg, intensity 158

---

What did the third record say?
LiLa4CoO8: simulated powder X-ray diffraction pattern (λ = 1.5418 Å (Cu Kα)), based on the PBE+U geometry in the Materials Project.
Kinematic intensities with the Lorentz-polarization factor, no thermal factor.

Unit cell a=7.019 b=7.019 c=5.343 alpha=90.00 beta=90.00 gamma=135.33
Element x y z (fractional)
Li  0.000  0.000  0.000
La  0.137  0.863  0.500
La  0.362  0.638  0.000
La  0.638  0.362  0.000
La  0.863  0.137  0.500
Co  0.500  0.500  0.500
O  0.181  0.819  0.000
O  0.254  0.254  0.256
O  0.254  0.254  0.744
O  0.320  0.680  0.500
O  0.680  0.320  0.500
O  0.746  0.746  0.256
O  0.746  0.746  0.744
O  0.819  0.181  0.000

The 10 most intense peaks (10° ≤ 2θ ≤ 90°), low angle first:
24.6 deg, intensity 557; 27.5 deg, intensity 248; 31.4 deg, intensity 1000; 33.6 deg, intensity 720; 42.2 deg, intensity 210; 43.9 deg, intensity 497; 48.2 deg, intensity 368; 55.2 deg, intensity 206; 58.7 deg, intensity 351; 76.3 deg, intensity 158